K4ZnP6O22: theoretical powder X-ray diffraction pattern (Cu Kα, 1.54184 Å), based on a PBE-relaxed structure.
No peak broadening, texture or thermal motion is included.

Peak list (10 most intense, 2θ from 10° to 80°, in order of rising 2θ)
2θ (°), I_rel
12.5, 23
13.7, 100
20.0, 24
21.6, 17
26.0, 22
27.6, 30
29.6, 20
30.4, 25
30.5, 32
33.6, 23

```
K4ZnP6O22
1.0
6.5282 -5.3256 0.0000
6.5282 5.3256 0.0000
-5.4083 0.0000 8.0989
K Zn P O
4 1 6 22
Direct
0.1584 0.1584 0.4273 K
0.2190 0.7810 0.0000 K
0.7810 0.2190 0.0000 K
0.8416 0.8416 0.5727 K
0.5000 0.5000 0.5000 Zn
0.0112 0.2940 0.7816 P
0.2595 0.2595 0.0960 P
0.2940 0.0112 0.7816 P
0.7060 0.9888 0.2184 P
0.7405 0.7405 0.9040 P
0.9888 0.7060 0.2184 P
0.0062 0.4408 0.7319 O
0.1272 0.3616 0.9787 O
0.1392 0.1392 0.7059 O
0.1524 0.7920 0.2606 O
0.1569 0.1569 0.1217 O
0.2080 0.8476 0.7394 O
0.2705 0.4854 0.5035 O
0.3616 0.1272 0.9787 O
0.3928 0.3928 0.2367 O
0.4408 0.0062 0.7319 O
0.4854 0.2705 0.5035 O
0.5146 0.7295 0.4965 O
0.5592 0.9938 0.2681 O
0.6072 0.6072 0.7633 O
0.6384 0.8728 0.0213 O
0.7295 0.5146 0.4965 O
0.7920 0.1524 0.2606 O
0.8431 0.8431 0.8783 O
0.8476 0.2080 0.7394 O
0.8608 0.8608 0.2941 O
0.8728 0.6384 0.0213 O
0.9938 0.5592 0.2681 O
```